(1)
Starting from a cell relaxed with PBE+U, the XRD peak list of VBO3 was computed for Cu Kα (weighted mean of Kα1 and Kα2).

Peak list (8 most intense, 2θ = 5–70°, in order of rising 2θ)
2theta	Rel. int.	hkl
25.0	54	0 1 2
32.7	100	1 0 4
38.4	18	1 1 0
42.7	32	1 1 3
46.4	23	2 0 2
53.9	40	1 1 6
54.4	19	0 1 8
69.5	18	3 0 0

Structure:
```
data_VBO3
_cell_length_a 4.6867
_cell_length_b 4.6867
_cell_length_c 14.8313
_cell_angle_alpha 90.00
_cell_angle_beta 90.00
_cell_angle_gamma 120.00
_symmetry_space_group_name_H-M 'R -3 c'
_symmetry_Int_Tables_number 167
_symmetry_space_group_name_Hall '-R 3 2"c'
loop_
_atom_site_label
_atom_site_type_symbol
_atom_site_fract_x
_atom_site_fract_y
_atom_site_fract_z
V1 V 0.0000 0.0000 0.0000
B1 B 0.0000 0.0000 0.2500
O1 O 0.0000 0.2960 0.2500
```


(2)
Starting from a cell relaxed with PBE+U, the XRD peak list of BaEuCrBiO6 was computed for Cu Kα (weighted mean of Kα1 and Kα2).

Peak list (8 most intense, 2θ = 5–70°, in order of rising 2θ)
2theta	Rel. int.	hkl
18.5	18	1 1 1
30.4	100	2 2 0
35.9	12	3 1 1
43.6	29	4 0 0
47.7	6	3 3 1
54.1	41	4 2 2
63.4	18	4 4 0
66.6	4	5 3 1

Structure:
```
data_BaEuCrBiO6
_cell_length_a 8.304
_cell_length_b 8.304
_cell_length_c 8.304
_cell_angle_alpha 90.00
_cell_angle_beta 90.00
_cell_angle_gamma 90.00
_symmetry_space_group_name_H-M 'F -4 3 m'
_symmetry_Int_Tables_number 216
_symmetry_space_group_name_Hall 'F -4 2 3'
loop_
_atom_site_label
_atom_site_type_symbol
_atom_site_fract_x
_atom_site_fract_y
_atom_site_fract_z
Ba1 Ba 0.000 0.000 0.000
Eu1 Eu 0.000 0.000 0.500
Cr1 Cr 0.250 0.250 0.250
Bi1 Bi 0.250 0.250 0.750
O1 O 0.006 0.250 0.250
```


(3)
Starting from a cell relaxed with PBE+U, the XRD peak list of BaCrSnBiO6 was computed for Cu Kα (weighted mean of Kα1 and Kα2).

Peak list (8 most intense, 2θ = 5–70°, in order of rising 2θ)
2theta	Rel. int.	hkl
18.9	9	1 1 1
21.9	8	2 0 0
31.2	100	2 2 0
36.7	6	3 1 1
38.4	11	2 2 2
44.7	30	4 0 0
55.5	41	4 2 2
65.0	19	4 4 0

Structure:
```
data_BaCrSnBiO6
_cell_length_a 8.116
_cell_length_b 8.116
_cell_length_c 8.116
_cell_angle_alpha 90.00
_cell_angle_beta 90.00
_cell_angle_gamma 90.00
_symmetry_space_group_name_H-M 'F -4 3 m'
_symmetry_Int_Tables_number 216
_symmetry_space_group_name_Hall 'F -4 2 3'
loop_
_atom_site_label
_atom_site_type_symbol
_atom_site_fract_x
_atom_site_fract_y
_atom_site_fract_z
Ba1 Ba 0.000 0.000 0.000
Cr1 Cr 0.250 0.250 0.250
Sn1 Sn 0.250 0.250 0.750
Bi1 Bi 0.000 0.000 0.500
O1 O 0.003 0.250 0.250
```


(4)
Starting from a cell relaxed with PBE+U, the XRD peak list of BaSrCrBiO6 was computed for Cu Kα (weighted mean of Kα1 and Kα2).

Peak list (8 most intense, 2θ = 5–70°, in order of rising 2θ)
2theta	Rel. int.	hkl
18.6	25	1 1 1
30.5	100	2 2 0
36.0	17	3 1 1
43.7	31	4 0 0
47.9	8	3 3 1
54.2	40	4 2 2
63.5	19	4 4 0
66.8	6	5 3 1

Structure:
```
data_BaSrCrBiO6
_cell_length_a 8.284
_cell_length_b 8.284
_cell_length_c 8.284
_cell_angle_alpha 90.00
_cell_angle_beta 90.00
_cell_angle_gamma 90.00
_symmetry_space_group_name_H-M 'F -4 3 m'
_symmetry_Int_Tables_number 216
_symmetry_space_group_name_Hall 'F -4 2 3'
loop_
_atom_site_label
_atom_site_type_symbol
_atom_site_fract_x
_atom_site_fract_y
_atom_site_fract_z
Ba1 Ba 0.000 0.000 0.000
Sr1 Sr 0.000 0.000 0.500
Cr1 Cr 0.250 0.250 0.250
Bi1 Bi 0.250 0.250 0.750
O1 O 0.005 0.250 0.250
```


(5)
Starting from a cell relaxed with PBE+U, the XRD peak list of BaEuVBiO6 was computed for Cu Kα (weighted mean of Kα1 and Kα2).

Peak list (8 most intense, 2θ = 5–70°, in order of rising 2θ)
2theta	Rel. int.	hkl
18.3	16	1 1 1
30.2	100	2 2 0
35.5	13	3 1 1
43.2	29	4 0 0
47.3	7	3 3 1
53.5	40	4 2 2
57.1	4	3 3 3
62.7	18	4 4 0

Structure:
```
data_BaEuVBiO6
_cell_length_a 8.384
_cell_length_b 8.384
_cell_length_c 8.384
_cell_angle_alpha 90.00
_cell_angle_beta 90.00
_cell_angle_gamma 90.00
_symmetry_space_group_name_H-M 'F -4 3 m'
_symmetry_Int_Tables_number 216
_symmetry_space_group_name_Hall 'F -4 2 3'
loop_
_atom_site_label
_atom_site_type_symbol
_atom_site_fract_x
_atom_site_fract_y
_atom_site_fract_z
Ba1 Ba 0.000 0.000 0.000
Eu1 Eu 0.000 0.000 0.500
V1 V 0.250 0.250 0.250
Bi1 Bi 0.250 0.250 0.750
O1 O 0.023 0.250 0.250
```


(6)
Starting from a cell relaxed with PBE+U, the XRD peak list of BaFe5Bi4O15 was computed for Cu Kα (weighted mean of Kα1 and Kα2).

Peak list (8 most intense, 2θ = 5–70°, in order of rising 2θ)
2theta	Rel. int.	hkl
22.1	68	3 1 -2
31.3	98	5 1 0
31.7	100	0 2 0
39.0	30	2 2 2
45.2	49	4 0 4
50.6	17	9 1 -6
56.2	40	5 3 0
56.4	23	1 3 -4

Structure:
```
data_BaFe5Bi4O15
_cell_length_a 19.027
_cell_length_b 5.652
_cell_length_c 13.852
_cell_angle_alpha 90.00
_cell_angle_beta 119.69
_cell_angle_gamma 90.00
_symmetry_space_group_name_H-M 'C 1 c 1'
_symmetry_Int_Tables_number 9
loop_
_symmetry_equiv_pos_as_xyz
'x,y,z'
'x,-y,z+1/2'
'x+1/2,y+1/2,z'
'x+1/2,-y+1/2,z+1/2'
loop_
_atom_site_label
_atom_site_type_symbol
_atom_site_fract_x
_atom_site_fract_y
_atom_site_fract_z
Ba1 Ba 0.000 0.006 0.000
Fe1 Fe 0.002 0.003 0.254
Fe2 Fe 0.103 0.496 0.647
Fe3 Fe 0.195 0.005 0.047
Fe4 Fe 0.297 0.497 0.444
Fe5 Fe 0.398 0.001 0.345
Bi1 Bi 0.121 0.488 0.402
Bi2 Bi 0.221 0.009 0.802
Bi3 Bi 0.317 0.496 0.194
Bi4 Bi 0.425 0.005 0.110
O1 O 0.032 0.250 0.180
O2 O 0.043 0.279 0.712
O3 O 0.094 0.076 0.401
O4 O 0.140 0.293 0.070
O5 O 0.153 0.209 0.629
O6 O 0.188 0.428 0.303
O7 O 0.229 0.226 0.961
O8 O 0.242 0.301 0.519
O9 O 0.289 0.070 0.200
O10 O 0.329 0.276 0.861
O11 O 0.344 0.205 0.419
O12 O 0.388 0.437 0.095
O13 O 0.427 0.240 0.765
O14 O 0.440 0.277 0.303
O15 O 0.487 0.036 0.001
```


(7)
Starting from a cell relaxed with PBE+U, the XRD peak list of Ba2Fe5BiPb2O13 was computed for Cu Kα (weighted mean of Kα1 and Kα2).

Peak list (8 most intense, 2θ = 5–70°, in order of rising 2θ)
2theta	Rel. int.	hkl
30.8	57	0 0 2
31.7	100	5 1 -1
31.9	99	5 1 1
32.7	45	10 0 0
38.5	27	1 1 -2
45.1	27	10 0 -2
45.6	31	0 2 0
45.9	25	10 0 2

Structure:
```
data_Ba2Fe5BiPb2O13
_cell_length_a 27.384
_cell_length_b 3.976
_cell_length_c 5.810
_cell_angle_alpha 90.00
_cell_angle_beta 90.95
_cell_angle_gamma 90.00
_symmetry_space_group_name_H-M 'C 1 2/m 1'
_symmetry_Int_Tables_number 12
loop_
_symmetry_equiv_pos_as_xyz
'x,y,z'
'-x,-y,-z'
'-x,y,-z'
'x,-y,z'
'x+1/2,y+1/2,z'
'-x+1/2,-y+1/2,-z'
'-x+1/2,y+1/2,-z'
'x+1/2,-y+1/2,z'
loop_
_atom_site_label
_atom_site_type_symbol
_atom_site_fract_x
_atom_site_fract_y
_atom_site_fract_z
Ba1 Ba 0.102 0.000 0.005
Fe1 Fe 0.000 0.500 0.000
Fe2 Fe 0.102 0.500 0.507
Fe3 Fe 0.207 0.500 0.013
Bi1 Bi 0.000 0.000 0.500
Pb1 Pb 0.194 0.000 0.502
O1 O 0.000 0.000 0.000
O2 O 0.050 0.500 0.739
O3 O 0.051 0.500 0.265
O4 O 0.109 0.000 0.505
O5 O 0.162 0.500 0.761
O6 O 0.164 0.500 0.278
O7 O 0.220 0.000 0.054
```


(8)
Starting from a cell relaxed with PBE+U, the XRD peak list of BaTiFe3Bi3O12 was computed for Cu Kα (weighted mean of Kα1 and Kα2).

Peak list (8 most intense, 2θ = 5–70°, in order of rising 2θ)
2theta	Rel. int.	hkl
22.0	70	1 0 4
31.2	94	0 1 8
31.6	100	1 1 0
38.8	32	0 2 4
45.0	47	2 0 8
50.4	26	1 1 12
56.0	39	3 -2 8
56.2	23	3 0 0

Structure:
```
data_BaTiFe3Bi3O12
_cell_length_a 5.6683
_cell_length_b 5.6683
_cell_length_c 28.2849
_cell_angle_alpha 90.00
_cell_angle_beta 90.00
_cell_angle_gamma 120.00
_symmetry_space_group_name_H-M 'R 3'
_symmetry_Int_Tables_number 146
_symmetry_space_group_name_Hall 'R 3'
loop_
_atom_site_label
_atom_site_type_symbol
_atom_site_fract_x
_atom_site_fract_y
_atom_site_fract_z
Ba1 Ba 0.0000 0.0000 0.0000
Ti1 Ti 0.0000 0.0000 0.3803
Fe1 Fe 0.0000 0.0000 0.1224
Fe2 Fe 0.0000 0.0000 0.6258
Fe3 Fe 0.0000 0.0000 0.8737
Bi1 Bi 0.0000 0.0000 0.2663
Bi2 Bi 0.0000 0.0000 0.5154
Bi3 Bi 0.0000 0.0000 0.7659
O1 O 0.0126 0.4462 0.2418
O2 O 0.0183 0.5816 0.4902
O3 O 0.0197 0.5331 0.9920
O4 O 0.1080 0.3377 0.0777
```


(9)
Starting from a cell relaxed with PBE+U, the XRD peak list of KBaBiWO6 was computed for Cu Kα (weighted mean of Kα1 and Kα2).

Peak list (8 most intense, 2θ = 5–70°, in order of rising 2θ)
2theta	Rel. int.	hkl
17.9	6	1 1 1
20.7	26	2 0 0
29.4	100	2 2 0
42.0	29	4 0 0
47.3	12	4 2 0
52.1	41	4 2 2
61.0	18	4 4 0
69.1	19	6 2 0

Structure:
```
data_KBaBiWO6
_cell_length_a 8.599
_cell_length_b 8.599
_cell_length_c 8.599
_cell_angle_alpha 90.00
_cell_angle_beta 90.00
_cell_angle_gamma 90.00
_symmetry_space_group_name_H-M 'F -4 3 m'
_symmetry_Int_Tables_number 216
_symmetry_space_group_name_Hall 'F -4 2 3'
loop_
_atom_site_label
_atom_site_type_symbol
_atom_site_fract_x
_atom_site_fract_y
_atom_site_fract_z
K1 K 0.000 0.000 0.000
Ba1 Ba 0.000 0.000 0.500
Bi1 Bi 0.250 0.250 0.250
W1 W 0.250 0.250 0.750
O1 O 0.022 0.250 0.750
```


(10)
Starting from a cell relaxed with PBE+U, the XRD peak list of KBaBiWO6 was computed for Cu Kα (weighted mean of Kα1 and Kα2).

Peak list (8 most intense, 2θ = 5–70°, in order of rising 2θ)
2theta	Rel. int.	hkl
20.7	26	2 0 0
29.4	100	2 2 0
42.0	28	4 0 0
47.3	12	2 4 0
52.1	42	2 4 2
61.0	18	4 0 4
69.1	13	2 6 0
69.2	6	6 0 2

Structure:
```
data_KBaBiWO6
_cell_length_a 8.589
_cell_length_b 8.600
_cell_length_c 8.606
_cell_angle_alpha 90.00
_cell_angle_beta 90.00
_cell_angle_gamma 90.00
_symmetry_space_group_name_H-M 'P n n n'
_symmetry_Int_Tables_number 48
loop_
_symmetry_equiv_pos_as_xyz
'x,y,z'
'-x,-y,-z'
'-x+1/2,-y+1/2,z'
'x+1/2,y+1/2,-z'
'x,-y+1/2,-z+1/2'
'-x,y+1/2,z+1/2'
'-x+1/2,y,-z+1/2'
'x+1/2,-y,z+1/2'
loop_
_atom_site_label
_atom_site_type_symbol
_atom_site_fract_x
_atom_site_fract_y
_atom_site_fract_z
K1 K 0.250 0.250 0.250
K2 K 0.250 0.250 0.750
Ba1 Ba 0.250 0.750 0.250
Ba2 Ba 0.250 0.750 0.750
Bi1 Bi 0.000 0.000 0.000
W1 W 0.000 0.000 0.500
O1 O 0.009 0.227 0.482
O2 O 0.017 0.016 0.727
O3 O 0.228 0.523 0.015
```


(11)
Starting from a cell relaxed with PBE+U, the XRD peak list of BaTiMnBiO6 was computed for Cu Kα (weighted mean of Kα1 and Kα2).

Peak list (8 most intense, 2θ = 5–70°, in order of rising 2θ)
2theta	Rel. int.	hkl
19.2	7	1 1 1
22.2	27	2 0 0
31.7	100	2 2 0
39.0	25	2 2 2
45.4	31	4 0 0
51.1	14	4 2 0
56.4	39	4 2 2
66.1	19	4 4 0

Structure:
```
data_BaTiMnBiO6
_cell_length_a 7.993
_cell_length_b 7.993
_cell_length_c 7.993
_cell_angle_alpha 90.00
_cell_angle_beta 90.00
_cell_angle_gamma 90.00
_symmetry_space_group_name_H-M 'F -4 3 m'
_symmetry_Int_Tables_number 216
_symmetry_space_group_name_Hall 'F -4 2 3'
loop_
_atom_site_label
_atom_site_type_symbol
_atom_site_fract_x
_atom_site_fract_y
_atom_site_fract_z
Ba1 Ba 0.000 0.000 0.000
Ti1 Ti 0.250 0.250 0.750
Mn1 Mn 0.250 0.250 0.250
Bi1 Bi 0.000 0.000 0.500
O1 O 0.003 0.250 0.750
```